Diffraction record for SrV2P4O14. The XRD peak list is computed, not measured: it uses a DFT-relaxed cell (PBE+U, Alexandria) and Cu Kα.
Kinematic intensities with the Lorentz-polarization factor, no thermal factor.

Largest 8 diffraction maxima, most intense first, 2θ = 15–90°:
h k l, d/Å, I/Imax
1 1 2, 3.071, 1000
1 1 -1, 3.859, 759
1 -1 1, 3.233, 703
1 -1 0, 3.466, 524
1 1 -2, 2.939, 496
0 1 -2, 3.485, 496
0 2 1, 3.173, 490
1 0 0, 4.698, 317

Cell and atoms:
Lattice parameters (Å, degrees): 4.891 7.188 8.072 89.42 87.18 74.09
Space group P-1 (No. 2)
Symmetry-distinct sites (fractional):
Sr (0.000, 0.000, 0.000) [1 per cell]
V (0.000, 0.000, 0.500) [1 per cell]
V (0.500, 0.500, 0.000) [1 per cell]
P (0.017, 0.388, 0.249) [2 per cell]
P (0.384, 0.222, 0.708) [2 per cell]
O (0.079, 0.213, 0.360) [2 per cell]
O (0.133, 0.654, 0.906) [2 per cell]
O (0.180, 0.092, 0.711) [2 per cell]
O (0.208, 0.438, 0.654) [2 per cell]
O (0.282, 0.452, 0.202) [2 per cell]
O (0.378, 0.833, 0.424) [2 per cell]
O (0.483, 0.234, 0.887) [2 per cell]